Theoretical XRD peak list of V2F7 for CuKα, from a crystal structure in Alexandria, relaxed with GGA+U.
Lines closer than 0.1° are merged.

Peak list (12 most intense, 15° ≤ 2θ ≤ 90°, by angle)
hkl 1 0 -2, 5.358 Å, I = 89; hkl 1 1 -1, 3.983 Å, I = 49; hkl 0 1 2, 3.925 Å, I = 100; hkl 2 0 -1, 3.904 Å, I = 83; hkl 1 1 2, 3.471 Å, I = 69; hkl 0 1 3, 3.298 Å, I = 67; hkl 1 1 -3, 3.102 Å, I = 77; hkl 2 1 1, 2.964 Å, I = 86; hkl 3 1 -2, 2.244 Å, I = 62; hkl 1 1 -6, 2.016 Å, I = 38; hkl 3 2 -2, 1.745 Å, I = 48; hkl 2 2 4, 1.735 Å, I = 67

Structural model:
```
V2F7
1.0
8.0068 0.0000 0.0000
0.0000 4.8048 0.0000
-0.9038 0.0000 13.6077
V F
8 28
Direct
0.0670 0.0000 0.1026
0.1843 0.4973 0.3010
0.3225 0.9919 0.4966
0.3350 0.4931 0.9599
0.6650 0.9931 0.0401
0.6775 0.4919 0.5034
0.8157 0.9973 0.6990
0.9330 0.5000 0.8974
0.0011 0.6754 0.3300
0.0459 0.2339 0.2218
0.1003 0.7367 0.9849
0.1430 0.3082 0.8788
0.1493 0.7841 0.5224
0.1830 0.2637 0.4197
0.1949 0.7292 0.1813
0.2461 0.2383 0.0654
0.3225 0.7827 0.3710
0.3394 0.1998 0.6020
0.3666 0.3268 0.2673
0.3718 0.7065 0.8550
0.4769 0.7163 0.0518
0.4797 0.7101 0.5487
0.5203 0.2101 0.4513
0.5231 0.2163 0.9482
0.6282 0.2065 0.1450
0.6334 0.8268 0.7327
0.6606 0.6998 0.3980
0.6775 0.2827 0.6290
0.7539 0.7383 0.9346
0.8051 0.2292 0.8187
0.8170 0.7637 0.5803
0.8507 0.2841 0.4776
0.8570 0.8082 0.1212
0.8997 0.2367 0.0151
0.9541 0.7339 0.7782
0.9989 0.1754 0.6700
```